PaCo4P2: theoretical powder XRD pattern (Cu Kα X-rays), based on a DFT-relaxed cell (GGA-PBE, OQMD).
Neutral-atom scattering factors, no anomalous dispersion.

```
data_PaCo4P2
_symmetry_space_group_name_H-M 'P 4/m m m'
_symmetry_Int_Tables_number 123
_symmetry_space_group_name_Hall '-P 4 2'
_cell_length_a 3.868
_cell_length_b 3.868
_cell_length_c 6.397
_cell_angle_alpha 90.00
_cell_angle_beta 90.00
_cell_angle_gamma 90.00
loop_
_atom_site_label
_atom_site_type_symbol
_atom_site_fract_x
_atom_site_fract_y
_atom_site_fract_z
Pa1 Pa 0.000 0.000 0.000
Co1 Co 0.000 0.500 0.306
P1 P 0.000 0.000 0.500
P2 P 0.500 0.500 0.000
```

Most intense lines, 2θ = 10–90°, by angle:
2θ (°), intensity, h k l
13.84, 337, 0 0 1
22.99, 597, 1 0 0
26.93, 414, 1 0 1
35.70, 754, 1 1 1
36.45, 374, 1 0 2
43.54, 1000, 1 1 2
46.98, 503, 2 0 0
84.87, 282, 3 1 2